Record 1
The following is a calculated powder X-ray diffraction pattern of TmGa2I5. It was derived from a PBE-relaxed structure, using Cu Ka.

Structure:
```
data_TmGa2I5
_space_group_name_H-M_alt 'C 1 c 1'
_space_group_IT_number 9
_cell_length_a 15.702
_cell_length_b 8.165
_cell_length_c 11.437
_cell_angle_alpha 90.00
_cell_angle_beta 112.80
_cell_angle_gamma 90.00
loop_
_space_group_symop_operation_xyz
'x,y,z'
'x,-y,z+1/2'
'x+1/2,y+1/2,z'
'x+1/2,-y+1/2,z+1/2'
loop_
_atom_site_label
_atom_site_type_symbol
_atom_site_fract_x
_atom_site_fract_y
_atom_site_fract_z
Tm1 Tm 0.000 0.000 0.000
Ga1 Ga 0.110 0.475 0.208
Ga2 Ga 0.390 0.025 0.792
I1 I 0.000 0.145 0.750
I2 I 0.091 0.306 0.464
I3 I 0.183 0.157 0.137
I4 I 0.317 0.343 0.863
I5 I 0.409 0.194 0.536
```

Most intense lines, 2θ from 10° to 90°, by intensity:
2θ 25.5, I = 100; 2θ 24.9, I = 98; 2θ 26.1, I = 93; 2θ 38.8, I = 87; 2θ 32.5, I = 70; 2θ 33.6, I = 68; 2θ 32.8, I = 63; 2θ 12.2, I = 63; 2θ 40.7, I = 43; 2θ 16.5, I = 42

=====

Record 2
The following is a calculated powder X-ray diffraction pattern of Ac5Pr2Ge5. It was derived from a PBE-relaxed structure, using Cu Ka.

Structure:
```
data_Ac5Pr2Ge5
_space_group_name_H-M_alt 'C 1 2/m 1'
_space_group_IT_number 12
_cell_length_a 14.907
_cell_length_b 4.495
_cell_length_c 13.045
_cell_angle_alpha 90.00
_cell_angle_beta 107.13
_cell_angle_gamma 90.00
loop_
_space_group_symop_operation_xyz
'x,y,z'
'-x,-y,-z'
'-x,y,-z'
'x,-y,z'
'x+1/2,y+1/2,z'
'-x+1/2,-y+1/2,-z'
'-x+1/2,y+1/2,-z'
'x+1/2,-y+1/2,z'
loop_
_atom_site_label
_atom_site_type_symbol
_atom_site_fract_x
_atom_site_fract_y
_atom_site_fract_z
Ac1 Ac 0.000 0.000 0.000
Ac2 Ac 0.158 0.000 0.550
Ac3 Ac 0.241 0.000 0.855
Pr1 Pr 0.043 0.500 0.288
Ge1 Ge 0.000 0.500 0.500
Ge2 Ge 0.114 0.500 0.916
Ge3 Ge 0.185 0.000 0.300
```

Most intense lines, 2θ from 10° to 90°, by intensity:
2θ 26.8, I = 100; 2θ 27.9, I = 97; 2θ 40.1, I = 75; 2θ 27.7, I = 75; 2θ 28.2, I = 68; 2θ 31.2, I = 58; 2θ 49.5, I = 52; 2θ 26.3, I = 46; 2θ 23.9, I = 44; 2θ 34.0, I = 41

=====

Record 3
The following is a calculated powder X-ray diffraction pattern of SmSiNi. It was derived from a PBE-relaxed structure, using Cu Ka.

Structure:
```
data_SmSiNi
_space_group_name_H-M_alt 'P -6 m 2'
_space_group_IT_number 187
_space_group_name_Hall 'P -6 2'
_cell_length_a 3.9895
_cell_length_b 3.9895
_cell_length_c 4.1803
_cell_angle_alpha 90.00
_cell_angle_beta 90.00
_cell_angle_gamma 120.00
loop_
_atom_site_label
_atom_site_type_symbol
_atom_site_fract_x
_atom_site_fract_y
_atom_site_fract_z
Sm1 Sm 0.0000 0.0000 0.0000
Si1 Si 0.6667 0.3333 0.5000
Ni1 Ni 0.3333 0.6667 0.5000
```

Most intense lines, 2θ from 10° to 90°, by intensity:
2θ 33.7, I = 100; 2θ 45.5, I = 32; 2θ 25.8, I = 28; 2θ 64.6, I = 22; 2θ 57.7, I = 21; 2θ 76.4, I = 18; 2θ 43.3, I = 12; 2θ 73.2, I = 10; 2θ 51.1, I = 9; 2θ 84.0, I = 5

=====

Record 4
The following is a calculated powder X-ray diffraction pattern of Tb5Er2Tm6. It was derived from a PBE-relaxed structure, using Cu Ka.

Structure:
```
data_Tb5Er2Tm6
_space_group_name_H-M_alt 'P b a m'
_space_group_IT_number 55
_cell_length_a 11.472
_cell_length_b 20.063
_cell_length_c 3.527
_cell_angle_alpha 90.00
_cell_angle_beta 90.00
_cell_angle_gamma 90.00
loop_
_space_group_symop_operation_xyz
'x,y,z'
'-x,-y,-z'
'-x,-y,z'
'x,y,-z'
'x+1/2,-y+1/2,-z'
'-x+1/2,y+1/2,z'
'-x+1/2,y+1/2,-z'
'x+1/2,-y+1/2,z'
loop_
_atom_site_label
_atom_site_type_symbol
_atom_site_fract_x
_atom_site_fract_y
_atom_site_fract_z
Tb1 Tb 0.000 0.000 0.000
Tb2 Tb 0.086 0.272 0.000
Tb3 Tb 0.199 0.550 0.000
Er1 Er 0.169 0.709 0.500
Tm1 Tm 0.060 0.418 0.500
Tm2 Tm 0.082 0.131 0.500
Tm3 Tm 0.174 0.863 0.000
```

Most intense lines, 2θ from 10° to 90°, by intensity:
2θ 32.7, I = 100; 2θ 31.5, I = 64; 2θ 32.2, I = 63; 2θ 32.0, I = 55; 2θ 34.8, I = 36; 2θ 37.2, I = 36; 2θ 62.4, I = 25; 2θ 51.8, I = 23; 2θ 32.3, I = 20; 2θ 61.9, I = 20

=====

Record 5
The following is a calculated powder X-ray diffraction pattern of Cd8Ag3Au3. It was derived from a PBE-relaxed structure, using Cu Ka.

Structure:
```
data_Cd8Ag3Au3
_space_group_name_H-M_alt 'P -1'
_space_group_IT_number 2
_cell_length_a 5.336
_cell_length_b 7.871
_cell_length_c 8.006
_cell_angle_alpha 118.03
_cell_angle_beta 95.52
_cell_angle_gamma 105.73
loop_
_space_group_symop_operation_xyz
'x,y,z'
'-x,-y,-z'
loop_
_atom_site_label
_atom_site_type_symbol
_atom_site_fract_x
_atom_site_fract_y
_atom_site_fract_z
Cd1 Cd 0.002 0.154 0.220
Cd2 Cd 0.010 0.718 0.076
Cd3 Cd 0.490 0.917 0.640
Cd4 Cd 0.492 0.361 0.779
Ag1 Ag 0.004 0.430 0.642
Ag2 Ag 0.500 0.500 0.500
Au1 Au 0.000 0.000 0.500
Au2 Au 0.492 0.212 0.063
```

Most intense lines, 2θ from 10° to 90°, by intensity:
2θ 36.3, I = 100; 2θ 36.4, I = 33; 2θ 40.9, I = 24; 2θ 41.6, I = 23; 2θ 44.0, I = 19; 2θ 59.8, I = 15; 2θ 71.5, I = 9; 2θ 71.6, I = 9; 2θ 72.5, I = 8; 2θ 72.4, I = 8

=====

Record 6
The following is a calculated powder X-ray diffraction pattern of MnGa. It was derived from a PBE-relaxed structure, using Cu Ka.

Structure:
```
data_MnGa
_space_group_name_H-M_alt 'I 4/m m m'
_space_group_IT_number 139
_space_group_name_Hall '-I 4 2'
_cell_length_a 7.226
_cell_length_b 7.226
_cell_length_c 4.205
_cell_angle_alpha 90.00
_cell_angle_beta 90.00
_cell_angle_gamma 90.00
loop_
_atom_site_label
_atom_site_type_symbol
_atom_site_fract_x
_atom_site_fract_y
_atom_site_fract_z
Mn1 Mn 0.158 0.158 0.000
Ga1 Ga 0.000 0.277 0.500
```

Most intense lines, 2θ from 10° to 90°, by intensity:
2θ 43.3, I = 100; 2θ 43.0, I = 35; 2θ 35.1, I = 27; 2θ 35.0, I = 25; 2θ 50.5, I = 18; 2θ 53.8, I = 17; 2θ 74.2, I = 16; 2θ 79.0, I = 15; 2θ 71.3, I = 14; 2θ 56.7, I = 13

=====

Record 7
The following is a calculated powder X-ray diffraction pattern of Pd3Au4. It was derived from a PBE-relaxed structure, using Cu Ka.

Structure:
```
data_Pd3Au4
_space_group_name_H-M_alt 'I m m m'
_space_group_IT_number 71
_space_group_name_Hall '-I 2 2'
_cell_length_a 2.868
_cell_length_b 4.054
_cell_length_c 20.266
_cell_angle_alpha 90.00
_cell_angle_beta 90.00
_cell_angle_gamma 90.00
loop_
_atom_site_label
_atom_site_type_symbol
_atom_site_fract_x
_atom_site_fract_y
_atom_site_fract_z
Pd1 Pd 0.000 0.000 0.000
Pd2 Pd 0.000 0.000 0.142
Au1 Au 0.000 0.000 0.287
Au2 Au 0.000 0.000 0.429
```

Most intense lines, 2θ from 10° to 90°, by intensity:
2θ 38.2, I = 100; 2θ 38.4, I = 99; 2θ 44.5, I = 65; 2θ 64.9, I = 43; 2θ 78.0, I = 38; 2θ 44.7, I = 32; 2θ 77.5, I = 26; 2θ 78.2, I = 13; 2θ 22.4, I = 12; 2θ 81.7, I = 11

=====

Record 8
The following is a calculated powder X-ray diffraction pattern of PrSm2ErS6. It was derived from a PBE-relaxed structure, using Cu Ka.

Structure:
```
data_PrSm2ErS6
_space_group_name_H-M_alt 'R 3'
_space_group_IT_number 146
_space_group_name_Hall 'R 3'
_cell_length_a 7.0740
_cell_length_b 7.0740
_cell_length_c 18.7512
_cell_angle_alpha 90.00
_cell_angle_beta 90.00
_cell_angle_gamma 120.00
loop_
_atom_site_label
_atom_site_type_symbol
_atom_site_fract_x
_atom_site_fract_y
_atom_site_fract_z
Pr1 Pr 0.0000 0.0000 0.0000
Sm1 Sm 0.0000 0.0000 0.2900
Sm2 Sm 0.0000 0.0000 0.7941
Er1 Er 0.0000 0.0000 0.4939
S1 S 0.0073 0.7128 0.3958
S2 S 0.0350 0.3564 0.5610
```

Most intense lines, 2θ from 10° to 90°, by intensity:
2θ 23.9, I = 100; 2θ 25.2, I = 98; 2θ 38.4, I = 75; 2θ 43.6, I = 50; 2θ 35.0, I = 49; 2θ 44.4, I = 49; 2θ 17.3, I = 37; 2θ 57.7, I = 28; 2θ 50.9, I = 25; 2θ 60.1, I = 19